# SiP4H28C10Cl4
Calculated PXRD pattern, λ = 1.5418 Å (Cu Kα). Input: a structure optimized by DFT (PBE).
Kinematic intensities with the Lorentz-polarization factor, no thermal factor.

Atomic structure:
```
SiP4H28C10Cl4
1.0
7.070 0.000 0.000
-0.599 9.169 0.000
-0.176 -0.438 9.251
Si P H C Cl
1 4 28 10 4
Direct
0.000 0.000 0.000
0.163 0.207 0.128
0.385 0.321 0.412
0.615 0.679 0.588
0.837 0.793 0.872
0.069 0.374 0.498
0.069 0.621 0.923
0.090 0.446 0.222
0.099 0.690 0.748
0.166 0.236 0.602
0.172 0.099 0.359
0.251 0.423 0.630
0.286 0.329 0.923
0.333 0.816 0.551
0.379 0.697 0.399
0.390 0.092 0.269
0.403 0.397 0.089
0.463 0.227 0.004
0.489 0.131 0.574
0.511 0.869 0.426
0.537 0.773 0.996
0.597 0.603 0.911
0.610 0.908 0.731
0.621 0.303 0.601
0.667 0.184 0.449
0.714 0.671 0.077
0.749 0.577 0.370
0.828 0.901 0.641
0.834 0.764 0.398
0.901 0.310 0.252
0.910 0.554 0.778
0.931 0.379 0.077
0.931 0.626 0.502
0.005 0.350 0.175
0.199 0.338 0.548
0.276 0.163 0.298
0.348 0.299 0.026
0.444 0.776 0.481
0.556 0.224 0.519
0.652 0.701 0.974
0.724 0.837 0.702
0.801 0.662 0.452
0.995 0.650 0.825
0.141 0.842 0.136
0.231 0.987 0.838
0.769 0.013 0.162
0.859 0.158 0.864
```

Peak list (8 most intense, 2θ = 15–90°, by angle)
| Position (°2θ) | intensity |
| --- | --- |
| 15.34 | 64 |
| 15.63 | 100 |
| 19.37 | 31 |
| 23.86 | 15 |
| 25.29 | 32 |
| 31.56 | 61 |
| 36.44 | 26 |
| 39.73 | 15 |